Entry 1:
This entry pairs a crystal structure of CaCdBi3 with its theoretical PXRD pattern. Radiation: Cu Kα (weighted mean of Kα1 and Kα2). Structure: a structure optimized by DFT (PBE).
Intensities are scaled so that the largest is 100.

Structural model:
```
data_CaCdBi3
_cell_length_a 13.5420
_cell_length_b 6.6576
_cell_length_c 6.7135
_cell_angle_alpha 90.00
_cell_angle_beta 90.00
_cell_angle_gamma 90.00
_symmetry_space_group_name_H-M 'P b c m'
_symmetry_Int_Tables_number 57
_symmetry_space_group_name_Hall '-P 2c 2b'
loop_
_atom_site_label
_atom_site_fract_x
_atom_site_fract_y
_atom_site_fract_z
Ca1 0.1860 0.0072 0.2500
Cd1 0.3767 0.2500 0.0000
Bi1 0.0017 0.2500 0.0000
Bi2 0.2313 0.5132 0.2500
Bi3 0.4235 0.6894 0.7500
```

Top 10 peaks for 2θ from 10° to 90°, in order of rising 2θ:
- 2θ 27.3, I 88
- 2θ 29.7, I 37
- 2θ 29.9, I 100
- 2θ 32.7, I 40
- 2θ 33.1, I 49
- 2θ 33.3, I 48
- 2θ 33.4, I 37
- 2θ 36.0, I 31
- 2θ 38.1, I 33
- 2θ 38.7, I 32

Entry 2:
This entry pairs a crystal structure of CaCdBi with its theoretical PXRD pattern. Radiation: Cu Kα (weighted mean of Kα1 and Kα2). Structure: a structure optimized by DFT (PBE).
Intensities are scaled so that the largest is 100.

Structural model:
```
data_CaCdBi
_cell_length_a 11.6746
_cell_length_b 3.9749
_cell_length_c 8.1013
_cell_angle_alpha 90.00
_cell_angle_beta 90.00
_cell_angle_gamma 90.00
_symmetry_space_group_name_H-M 'P n m a'
_symmetry_Int_Tables_number 62
_symmetry_space_group_name_Hall '-P 2ac 2n'
loop_
_atom_site_label
_atom_site_fract_x
_atom_site_fract_y
_atom_site_fract_z
Ca1 0.0898 0.2500 0.1756
Cd1 0.0886 0.2500 0.5910
Bi1 0.1822 0.7500 0.8811
```

Top 10 peaks for 2θ from 10° to 90°, in order of rising 2θ:
- 2θ 18.7, I 54
- 2θ 25.4, I 32
- 2θ 26.1, I 100
- 2θ 31.9, I 37
- 2θ 32.5, I 74
- 2θ 36.7, I 35
- 2θ 38.3, I 63
- 2θ 39.3, I 49
- 2θ 60.0, I 30
- 2θ 62.4, I 26

Entry 3:
This entry pairs a crystal structure of Ca8Cd2Bi with its theoretical PXRD pattern. Radiation: Cu Kα (weighted mean of Kα1 and Kα2). Structure: a structure optimized by DFT (PBE).
Intensities are scaled so that the largest is 100.

Structural model:
```
data_Ca8Cd2Bi
_cell_length_a 5.2448
_cell_length_b 8.8047
_cell_length_c 16.1856
_cell_angle_alpha 90.00
_cell_angle_beta 90.00
_cell_angle_gamma 90.00
_symmetry_space_group_name_H-M 'I m m m'
_symmetry_Int_Tables_number 71
_symmetry_space_group_name_Hall '-I 2 2'
loop_
_atom_site_label
_atom_site_fract_x
_atom_site_fract_y
_atom_site_fract_z
Ca1 0.0000 0.0000 0.1453
Ca2 0.0000 0.2178 0.3362
Ca3 0.0000 0.3091 0.0000
Cd1 0.0000 0.5000 0.1908
Bi1 0.0000 0.5000 0.5000
```

Top 10 peaks for 2θ from 10° to 90°, in order of rising 2θ:
- 2θ 11.4, I 15
- 2θ 19.3, I 36
- 2θ 19.7, I 36
- 2θ 20.2, I 13
- 2θ 29.7, I 28
- 2θ 31.3, I 100
- 2θ 33.2, I 18
- 2θ 34.2, I 23
- 2θ 48.4, I 12
- 2θ 59.4, I 15

Entry 4:
This entry pairs a crystal structure of Ca2CdBi4 with its theoretical PXRD pattern. Radiation: Cu Kα (weighted mean of Kα1 and Kα2). Structure: a structure optimized by DFT (PBE).
Intensities are scaled so that the largest is 100.

Structural model:
```
data_Ca2CdBi4
_cell_length_a 9.5010
_cell_length_b 9.8863
_cell_length_c 6.7126
_cell_angle_alpha 90.00
_cell_angle_beta 134.65
_cell_angle_gamma 90.00
_symmetry_space_group_name_H-M 'C 1 m 1'
_symmetry_Int_Tables_number 8
_symmetry_space_group_name_Hall 'C -2y'
loop_
_atom_site_label
_atom_site_fract_x
_atom_site_fract_y
_atom_site_fract_z
Ca1 0.0000 0.2501 0.0000
Cd1 0.2510 0.0000 0.0018
Bi1 0.0000 0.2501 0.5000
Bi2 0.2496 0.0000 0.5000
Bi3 0.2505 0.5000 0.5005
```

Top 10 peaks for 2θ from 10° to 90°, in order of rising 2θ:
- 2θ 18.6, I 67
- 2θ 26.0, I 62
- 2θ 32.1, I 100
- 2θ 32.2, I 99
- 2θ 36.3, I 36
- 2θ 37.7, I 33
- 2θ 37.9, I 32
- 2θ 53.4, I 24
- 2θ 53.5, I 24
- 2θ 64.7, I 27

Entry 5:
This entry pairs a crystal structure of Ca4CdBi3 with its theoretical PXRD pattern. Radiation: Cu Kα (weighted mean of Kα1 and Kα2). Structure: a structure optimized by DFT (PBE).
Intensities are scaled so that the largest is 100.

Structural model:
```
data_Ca4CdBi3
_cell_length_a 12.3942
_cell_length_b 12.3942
_cell_length_c 6.5413
_cell_angle_alpha 90.00
_cell_angle_beta 90.00
_cell_angle_gamma 90.00
_symmetry_space_group_name_H-M 'I 4/m c m'
_symmetry_Int_Tables_number 140
_symmetry_space_group_name_Hall '-I 4 2c'
loop_
_atom_site_label
_atom_site_fract_x
_atom_site_fract_y
_atom_site_fract_z
Ca1 0.0728 0.2241 0.0000
Cd1 0.0000 0.5000 0.2500
Bi1 0.0000 0.0000 0.2500
Bi2 0.1703 0.3297 0.5000
```

Top 10 peaks for 2θ from 10° to 90°, in order of rising 2θ:
- 2θ 20.3, I 49
- 2θ 21.0, I 95
- 2θ 22.7, I 41
- 2θ 30.9, I 100
- 2θ 32.3, I 62
- 2θ 32.8, I 98
- 2θ 40.1, I 31
- 2θ 41.4, I 38
- 2θ 51.8, I 27
- 2θ 54.6, I 31

Entry 6:
This entry pairs a crystal structure of Ca3Cd2Hg4Bi2 with its theoretical PXRD pattern. Radiation: Cu Kα (weighted mean of Kα1 and Kα2). Structure: a structure optimized by DFT (PBE).
Intensities are scaled so that the largest is 100.

Structural model:
```
data_Ca3Cd2Hg4Bi2
_cell_length_a 4.6100
_cell_length_b 4.6100
_cell_length_c 29.5222
_cell_angle_alpha 90.00
_cell_angle_beta 90.00
_cell_angle_gamma 90.00
_symmetry_space_group_name_H-M 'I 4/m m m'
_symmetry_Int_Tables_number 139
_symmetry_space_group_name_Hall '-I 4 2'
loop_
_atom_site_label
_atom_site_fract_x
_atom_site_fract_y
_atom_site_fract_z
Ca1 0.0000 0.0000 0.0000
Ca2 0.0000 0.0000 0.1981
Cd1 0.0000 0.0000 0.4539
Hg1 0.0000 0.5000 0.1080
Bi1 0.0000 0.0000 0.3102
```

Top 10 peaks for 2θ from 10° to 90°, in order of rising 2θ:
- 2θ 12.0, I 70
- 2θ 19.5, I 31
- 2θ 30.0, I 100
- 2θ 30.3, I 26
- 2θ 33.0, I 58
- 2θ 36.8, I 89
- 2θ 39.1, I 74
- 2θ 50.2, I 26
- 2θ 56.5, I 25
- 2θ 69.3, I 28

Entry 7:
This entry pairs a crystal structure of CaCd2BiO4 with its theoretical PXRD pattern. Radiation: Cu Kα (weighted mean of Kα1 and Kα2). Structure: a structure optimized by DFT (PBE).
Intensities are scaled so that the largest is 100.

Structural model:
```
data_CaCd2BiO4
_cell_length_a 11.7572
_cell_length_b 4.7764
_cell_length_c 4.8975
_cell_angle_alpha 90.00
_cell_angle_beta 113.40
_cell_angle_gamma 90.00
_symmetry_space_group_name_H-M 'C 1 m 1'
_symmetry_Int_Tables_number 8
_symmetry_space_group_name_Hall 'C -2y'
loop_
_atom_site_label
_atom_site_fract_x
_atom_site_fract_y
_atom_site_fract_z
Ca1 0.0000 0.0000 0.0000
Cd1 0.2255 0.0000 0.7196
Cd2 0.4886 0.0000 0.4894
Bi1 0.2466 0.5000 0.2424
O1 0.0072 0.0000 0.5063
O2 0.0384 0.5000 0.0318
O3 0.2273 0.0000 0.2205
O4 0.2787 0.5000 0.8205
```

Top 10 peaks for 2θ from 10° to 90°, in order of rising 2θ:
- 2θ 16.4, I 29
- 2θ 26.1, I 21
- 2θ 30.8, I 89
- 2θ 31.2, I 100
- 2θ 33.2, I 56
- 2θ 36.7, I 47
- 2θ 37.7, I 44
- 2θ 49.8, I 17
- 2θ 51.1, I 32
- 2θ 53.6, I 30

Entry 8:
This entry pairs a crystal structure of CaCdBiPb with its theoretical PXRD pattern. Radiation: Cu Kα (weighted mean of Kα1 and Kα2). Structure: a structure optimized by DFT (PBE).
Intensities are scaled so that the largest is 100.

Structural model:
```
data_CaCdBiPb
_cell_length_a 4.6634
_cell_length_b 4.7072
_cell_length_c 5.2838
_cell_angle_alpha 90.00
_cell_angle_beta 90.00
_cell_angle_gamma 90.00
_symmetry_space_group_name_H-M 'P m m m'
_symmetry_Int_Tables_number 47
_symmetry_space_group_name_Hall '-P 2 2'
loop_
_atom_site_label
_atom_site_fract_x
_atom_site_fract_y
_atom_site_fract_z
Ca1 0.0000 0.0000 0.0000
Cd1 0.0000 0.5000 0.5000
Bi1 0.5000 0.5000 0.0000
Pb1 0.5000 0.0000 0.5000
```

Top 10 peaks for 2θ from 10° to 90°, in order of rising 2θ:
- 2θ 19.0, I 16
- 2θ 25.3, I 17
- 2θ 31.9, I 100
- 2θ 33.9, I 21
- 2θ 38.2, I 15
- 2θ 38.6, I 15
- 2θ 52.0, I 13
- 2θ 59.4, I 18
- 2θ 65.2, I 13
- 2θ 65.7, I 13

Entry 9:
This entry pairs a crystal structure of Ca2Cd2Bi2Sb with its theoretical PXRD pattern. Radiation: Cu Kα (weighted mean of Kα1 and Kα2). Structure: a structure optimized by DFT (PBE).
Intensities are scaled so that the largest is 100.

Structural model:
```
data_Ca2Cd2Bi2Sb
_cell_length_a 4.8071
_cell_length_b 6.1305
_cell_length_c 7.7949
_cell_angle_alpha 95.87
_cell_angle_beta 94.71
_cell_angle_gamma 104.18
_symmetry_space_group_name_H-M 'P -1'
_symmetry_Int_Tables_number 2
_symmetry_space_group_name_Hall '-P 1'
loop_
_atom_site_label
_atom_site_fract_x
_atom_site_fract_y
_atom_site_fract_z
Ca1 0.0775 0.1286 0.2598
Cd1 0.3237 0.4425 0.8422
Bi1 0.2115 0.6700 0.3976
Sb1 0.5000 0.0000 0.0000
```

Top 10 peaks for 2θ from 10° to 90°, in order of rising 2θ:
- 2θ 15.0, I 44
- 2θ 20.1, I 62
- 2θ 23.5, I 41
- 2θ 28.4, I 94
- 2θ 31.1, I 100
- 2θ 31.3, I 34
- 2θ 31.7, I 57
- 2θ 34.3, I 74
- 2θ 39.4, I 36
- 2θ 40.0, I 36

Entry 10:
This entry pairs a crystal structure of CaCe3Bi3 with its theoretical PXRD pattern. Radiation: Cu Kα (weighted mean of Kα1 and Kα2). Structure: a structure optimized by DFT (PBE).
Intensities are scaled so that the largest is 100.

Structural model:
```
data_CaCe3Bi3
_cell_length_a 7.9957
_cell_length_b 7.9957
_cell_length_c 25.6616
_cell_angle_alpha 90.00
_cell_angle_beta 90.00
_cell_angle_gamma 120.00
_symmetry_space_group_name_H-M 'R -3'
_symmetry_Int_Tables_number 148
_symmetry_space_group_name_Hall '-R 3'
loop_
_atom_site_label
_atom_site_fract_x
_atom_site_fract_y
_atom_site_fract_z
Ca1 0.0000 0.0000 0.1660
Ce1 0.0239 0.2997 0.9691
Bi1 0.0190 0.2961 0.4316
```

Top 10 peaks for 2θ from 10° to 90°, in order of rising 2θ:
- 2θ 22.2, I 55
- 2θ 24.6, I 47
- 2θ 30.6, I 100
- 2θ 35.0, I 32
- 2θ 37.1, I 20
- 2θ 38.8, I 70
- 2θ 39.0, I 47
- 2θ 50.4, I 13
- 2θ 60.0, I 13
- 2θ 68.2, I 18

Entry 11:
This entry pairs a crystal structure of CaCeBiO2 with its theoretical PXRD pattern. Radiation: Cu Kα (weighted mean of Kα1 and Kα2). Structure: a structure optimized by DFT (PBE).
Intensities are scaled so that the largest is 100.

Structural model:
```
data_CaCeBiO2
_cell_length_a 3.9596
_cell_length_b 3.9596
_cell_length_c 13.7933
_cell_angle_alpha 90.00
_cell_angle_beta 90.00
_cell_angle_gamma 90.00
_symmetry_space_group_name_H-M 'I 4 m m'
_symmetry_Int_Tables_number 107
_symmetry_space_group_name_Hall 'I 4 -2'
loop_
_atom_site_label
_atom_site_fract_x
_atom_site_fract_y
_atom_site_fract_z
Ca1 0.0000 0.0000 0.0000
Ce1 0.0000 0.0000 0.3395
Bi1 0.0000 0.0000 0.6708
O1 0.0000 0.5000 0.4121
```

Top 10 peaks for 2θ from 10° to 90°, in order of rising 2θ:
- 2θ 12.8, I 14
- 2θ 23.4, I 25
- 2θ 29.8, I 100
- 2θ 32.0, I 35
- 2θ 34.6, I 12
- 2θ 45.8, I 18
- 2θ 51.4, I 25
- 2θ 55.6, I 35
- 2θ 61.8, I 11
- 2θ 83.4, I 11

Entry 12:
This entry pairs a crystal structure of Ca3CeBi2S with its theoretical PXRD pattern. Radiation: Cu Kα (weighted mean of Kα1 and Kα2). Structure: a structure optimized by DFT (PBE).
Intensities are scaled so that the largest is 100.

Structural model:
```
data_Ca3CeBi2S
_cell_length_a 5.2071
_cell_length_b 5.3605
_cell_length_c 16.5897
_cell_angle_alpha 90.00
_cell_angle_beta 90.00
_cell_angle_gamma 90.00
_symmetry_space_group_name_H-M 'I m m m'
_symmetry_Int_Tables_number 71
_symmetry_space_group_name_Hall '-I 2 2'
loop_
_atom_site_label
_atom_site_fract_x
_atom_site_fract_y
_atom_site_fract_z
Ca1 0.0000 0.0000 0.0000
Ca2 0.0000 0.5000 0.3276
Ce1 0.0000 0.0000 0.5000
Bi1 0.0000 0.5000 0.1352
S1 0.0000 0.5000 0.5000
```

Top 10 peaks for 2θ from 10° to 90°, in order of rising 2θ:
- 2θ 17.4, I 54
- 2θ 23.5, I 49
- 2θ 23.8, I 39
- 2θ 26.2, I 32
- 2θ 32.0, I 21
- 2θ 32.3, I 100
- 2θ 33.4, I 34
- 2θ 34.4, I 32
- 2θ 41.3, I 24
- 2θ 48.8, I 24